No. 1
Computed powder diffractogram of LaDy5Er3 for Cu Kα, 1.54184 Å, from a cell relaxed with PBE.
Kinematic intensities with the Lorentz-polarization factor, no thermal factor.

Top 12 peaks for 2θ from 10° to 80°, in order of rising 2θ:
Position (°2θ), Rel. int., hkl
28.7, 48, 3 1 -3
29.6, 37, 0 2 0
30.3, 100, 6 0 0
30.9, 18, 0 2 1
31.3, 36, 2 2 0
32.1, 81, 1 1 3
32.2, 79, 5 1 -3
36.0, 16, 4 2 0
38.1, 17, 3 1 3
42.9, 26, 6 2 0
54.9, 16, 7 1 3
58.4, 24, 4 2 -6

Cell and atoms:
```
data_LaDy5Er3
_symmetry_space_group_name_H-M 'C 1 2/c 1'
_symmetry_Int_Tables_number 15
_cell_length_a 19.142
_cell_length_b 6.042
_cell_length_c 11.115
_cell_angle_alpha 90.00
_cell_angle_beta 112.43
_cell_angle_gamma 90.00
loop_
_symmetry_equiv_pos_as_xyz
'x,y,z'
'-x,-y,-z'
'-x,y,-z+1/2'
'x,-y,z+1/2'
'x+1/2,y+1/2,z'
'-x+1/2,-y+1/2,-z'
'-x+1/2,y+1/2,-z+1/2'
'x+1/2,-y+1/2,z+1/2'
loop_
_atom_site_label
_atom_site_type_symbol
_atom_site_fract_x
_atom_site_fract_y
_atom_site_fract_z
La1 La 0.000 0.151 0.250
Dy1 Dy 0.000 0.369 0.750
Dy2 Dy 0.165 0.257 0.697
Dy3 Dy 0.169 0.268 0.029
Er1 Er 0.000 0.000 0.000
Er2 Er 0.176 0.224 0.365
```

=====

No. 2
Computed powder diffractogram of LaDy7Er4 for Cu Kα, 1.54184 Å, from a cell relaxed with PBE.
Kinematic intensities with the Lorentz-polarization factor, no thermal factor.

Top 12 peaks for 2θ from 10° to 80°, in order of rising 2θ:
Position (°2θ), Rel. int., hkl
27.2, 23, 3 1 -2
30.4, 100, 0 2 0
30.7, 25, 4 0 -1
30.9, 50, 4 0 -3
32.8, 42, 1 1 3
33.0, 74, 1 1 -4
33.6, 83, 3 1 1
33.9, 48, 3 1 -4
43.8, 19, 4 2 -1
43.9, 39, 4 2 -3
56.1, 20, 3 3 1
60.9, 20, 2 2 5

Cell and atoms:
```
data_LaDy7Er4
_symmetry_space_group_name_H-M 'C 1 2/m 1'
_symmetry_Int_Tables_number 12
_cell_length_a 12.045
_cell_length_b 5.872
_cell_length_c 12.573
_cell_angle_alpha 90.00
_cell_angle_beta 117.90
_cell_angle_gamma 90.00
loop_
_symmetry_equiv_pos_as_xyz
'x,y,z'
'-x,-y,-z'
'-x,y,-z'
'x,-y,z'
'x+1/2,y+1/2,z'
'-x+1/2,-y+1/2,-z'
'-x+1/2,y+1/2,-z'
'x+1/2,-y+1/2,z'
loop_
_atom_site_label
_atom_site_type_symbol
_atom_site_fract_x
_atom_site_fract_y
_atom_site_fract_z
La1 La 0.000 0.000 0.000
Dy1 Dy 0.000 0.500 0.000
Dy2 Dy 0.057 0.000 0.335
Dy3 Dy 0.135 0.500 0.505
Dy4 Dy 0.210 0.000 0.921
Er1 Er 0.129 0.500 0.774
Er2 Er 0.246 0.500 0.314
```